No. 1
Structure and computed powder diffraction line list of Pm3Al4Cu8 (a crystal structure in Alexandria, relaxed with PBE; Cu Kα (λ = 1.5418 Å)).
Intensities are scaled so that the largest is 100.

Atomic structure:
Lattice parameters (Å, degrees): 8.987 8.987 8.987 60.00 60.00 60.00
Positions (direct):
Pm 0.234 0.234 0.766
Pm 0.234 0.766 0.234
Pm 0.234 0.766 0.766
Pm 0.766 0.234 0.234
Pm 0.766 0.234 0.766
Pm 0.766 0.766 0.234
Al 0.000 0.000 0.000
Al 0.000 0.000 0.500
Al 0.000 0.500 0.000
Al 0.000 0.500 0.500
Al 0.500 0.000 0.000
Al 0.500 0.000 0.500
Al 0.500 0.500 0.000
Al 0.500 0.500 0.500
Cu 0.111 0.630 0.630
Cu 0.173 0.173 0.173
Cu 0.173 0.173 0.481
Cu 0.173 0.481 0.173
Cu 0.370 0.370 0.370
Cu 0.370 0.370 0.889
Cu 0.370 0.889 0.370
Cu 0.481 0.173 0.173
Cu 0.519 0.827 0.827
Cu 0.630 0.111 0.630
Cu 0.630 0.630 0.111
Cu 0.630 0.630 0.630
Cu 0.827 0.519 0.827
Cu 0.827 0.827 0.519
Cu 0.827 0.827 0.827
Cu 0.889 0.370 0.370

Top 8 peaks for 2θ from 15° to 90°, by angle:
| two_theta | intensity |
| --- | --- |
| 24.3 | 50 |
| 31.5 | 25 |
| 34.6 | 15 |
| 36.7 | 26 |
| 40.1 | 100 |
| 42.7 | 16 |
| 45.1 | 15 |
| 72.9 | 24 |


No. 2
Structure and computed powder diffraction line list of PmAl4CuPt2 (a crystal structure in Alexandria, relaxed with PBE; Cu Kα (λ = 1.5418 Å)).
Intensities are scaled so that the largest is 100.

Atomic structure:
Lattice parameters (Å, degrees): 9.171 9.171 9.171 26.88 26.88 26.88
Positions (direct):
Pm 0.000 0.000 0.000
Al 0.133 0.133 0.133
Al 0.405 0.405 0.405
Al 0.595 0.595 0.595
Al 0.867 0.867 0.867
Cu 0.500 0.500 0.500
Pt 0.235 0.235 0.235
Pt 0.765 0.765 0.765

Top 8 peaks for 2θ from 15° to 90°, by angle:
| two_theta | intensity |
| --- | --- |
| 27.7 | 100 |
| 29.5 | 28 |
| 36.4 | 65 |
| 42.4 | 69 |
| 51.4 | 19 |
| 53.0 | 18 |
| 57.1 | 18 |
| 73.7 | 17 |


No. 3
Structure and computed powder diffraction line list of PmAlCu2S4 (a crystal structure in Alexandria, relaxed with PBE; Cu Kα (λ = 1.5418 Å)).
Intensities are scaled so that the largest is 100.

Atomic structure:
Lattice parameters (Å, degrees): 5.865 5.865 5.865 114.46 112.44 101.79
Positions (direct):
Pm 0.000 0.000 0.000
Al 0.500 0.500 0.000
Cu 0.317 0.817 0.500
Cu 0.683 0.183 0.500
S 0.126 0.118 0.595
S 0.477 0.882 0.008
S 0.523 0.532 0.405
S 0.874 0.468 0.992

Top 8 peaks for 2θ from 15° to 90°, by angle:
| two_theta | intensity |
| --- | --- |
| 18.4 | 59 |
| 31.2 | 100 |
| 33.2 | 45 |
| 39.0 | 30 |
| 39.6 | 54 |
| 50.8 | 27 |
| 51.7 | 26 |
| 64.2 | 24 |


No. 4
Structure and computed powder diffraction line list of PmAlZnCu2 (a crystal structure in Alexandria, relaxed with PBE; Cu Kα (λ = 1.5418 Å)).
Intensities are scaled so that the largest is 100.

Atomic structure:
Lattice parameters (Å, degrees): 6.361 6.361 6.361 144.02 143.49 52.19
Positions (direct):
Pm 0.000 0.000 0.000
Al 0.260 0.760 0.500
Zn 0.614 0.614 0.000
Cu 0.395 0.395 0.000
Cu 0.756 0.256 0.500

Top 8 peaks for 2θ from 15° to 90°, by angle:
| two_theta | intensity |
| --- | --- |
| 32.0 | 34 |
| 32.5 | 41 |
| 32.7 | 42 |
| 35.7 | 100 |
| 45.5 | 25 |
| 45.8 | 28 |
| 45.9 | 26 |
| 46.2 | 24 |


No. 5
Structure and computed powder diffraction line list of Pr2AlCu5 (a crystal structure in Alexandria, relaxed with PBE; Cu Kα (λ = 1.5418 Å)).
Intensities are scaled so that the largest is 100.

Atomic structure:
Lattice parameters (Å, degrees): 6.098 6.098 6.098 120.47 120.47 89.19
Positions (direct):
Pr 0.000 0.500 0.500
Pr 0.500 0.000 0.500
Al 0.259 0.259 0.000
Cu 0.546 0.546 0.587
Cu 0.546 0.959 0.000
Cu 0.551 0.551 0.000
Cu 0.959 0.546 0.000
Cu 0.959 0.959 0.413

Top 8 peaks for 2θ from 15° to 90°, by angle:
| two_theta | intensity |
| --- | --- |
| 17.9 | 17 |
| 20.7 | 18 |
| 29.3 | 44 |
| 36.2 | 100 |
| 41.6 | 21 |
| 42.2 | 36 |
| 60.8 | 20 |
| 73.2 | 14 |


No. 6
Structure and computed powder diffraction line list of PrAlCu3 (a crystal structure in Alexandria, relaxed with PBE; Cu Kα (λ = 1.5418 Å)).
Intensities are scaled so that the largest is 100.

Atomic structure:
Lattice parameters (Å, degrees): 6.559 6.559 6.559 134.45 96.60 100.65
Positions (direct):
Pr 0.298 0.048 0.250
Pr 0.702 0.952 0.750
Al 0.000 0.500 0.500
Al 0.500 0.500 0.000
Cu 0.086 0.336 0.750
Cu 0.231 0.000 0.731
Cu 0.231 0.500 0.231
Cu 0.769 0.000 0.269
Cu 0.769 0.500 0.769
Cu 0.914 0.664 0.250

Top 8 peaks for 2θ from 15° to 90°, by angle:
| two_theta | intensity |
| --- | --- |
| 29.0 | 44 |
| 29.5 | 100 |
| 41.1 | 54 |
| 41.4 | 34 |
| 41.6 | 32 |
| 41.8 | 20 |
| 42.4 | 33 |
| 60.1 | 18 |